This entry pairs a crystal structure of SmGa8Cu4 with its computed powder diffraction line list. Radiation: Cu Kα X-rays. Structure: a DFT-relaxed cell (GGA-PBE, the Materials Project).
No peak broadening, texture or thermal motion is included.

Principal peaks in the range 10° ≤ 2θ ≤ 80°, by angle:
d = 2.602 Å, 34.47°, intensity 31; d = 2.374 Å, 37.90°, intensity 29; d = 2.252 Å, 40.04°, intensity 100; d = 2.243 Å, 40.21°, intensity 19; d = 2.100 Å, 43.07°, intensity 12; d = 2.014 Å, 45.02°, intensity 31; d = 1.301 Å, 72.67°, intensity 16; d = 1.296 Å, 72.98°, intensity 15

Atomic structure:
a b c (Å): 9.014 9.014 8.971
angles (deg): 90.00 90.00 120.00
Element x y z (fractional)
Sm 0.000 0.000 0.000
Sm 0.333 0.667 0.500
Sm 0.667 0.333 0.500
Ga 0.000 0.000 0.348
Ga 0.000 0.000 0.652
Ga 0.000 0.297 0.500
Ga 0.000 0.346 0.000
Ga 0.000 0.500 0.274
Ga 0.000 0.500 0.726
Ga 0.000 0.654 0.000
Ga 0.000 0.703 0.500
Ga 0.297 0.000 0.500
Ga 0.297 0.297 0.500
Ga 0.333 0.667 0.146
Ga 0.333 0.667 0.854
Ga 0.346 0.000 0.000
Ga 0.346 0.346 0.000
Ga 0.500 0.000 0.274
Ga 0.500 0.000 0.726
Ga 0.500 0.500 0.274
Ga 0.500 0.500 0.726
Ga 0.654 0.000 0.000
Ga 0.654 0.654 0.000
Ga 0.667 0.333 0.146
Ga 0.667 0.333 0.854
Ga 0.703 0.000 0.500
Ga 0.703 0.703 0.500
Cu 0.167 0.334 0.241
Cu 0.167 0.334 0.759
Cu 0.167 0.833 0.241
Cu 0.167 0.833 0.759
Cu 0.334 0.167 0.241
Cu 0.334 0.167 0.759
Cu 0.666 0.833 0.241
Cu 0.666 0.833 0.759
Cu 0.833 0.167 0.241
Cu 0.833 0.167 0.759
Cu 0.833 0.666 0.241
Cu 0.833 0.666 0.759